# Fe4OF7
Simulated XRD peak list, Cu Kα, 1.54184 Å. Input: the GGA+U geometry in Alexandria.
Lines closer than 0.1° are merged.

Principal peaks in the range 5° ≤ 2θ ≤ 70°, in order of rising 2θ:
2θ/deg	intensity
25.52	100.0
26.64	84.5
33.34	98.5
37.22	14.3
37.93	17.5
38.72	19.6
50.19	68.0
51.46	50.2
52.43	17.6
54.87	16.0
56.96	19.3
64.66	42.1

Structural model:
```
data_Fe4OF7
_cell_length_a 6.4670
_cell_length_b 13.9608
_cell_length_c 6.6924
_cell_angle_alpha 90.00
_cell_angle_beta 90.00
_cell_angle_gamma 90.00
_space_group_name_H-M_alt 'C m c 21'
_space_group_IT_number 36
_space_group_name_Hall 'C 2c -2'
loop_
_atom_site_label
_atom_site_type_symbol
_atom_site_fract_x
_atom_site_fract_y
_atom_site_fract_z
Fe1 Fe 0.0000 0.1252 0.0000
Fe2 Fe 0.0000 0.3735 0.5340
Fe3 Fe 0.2403 0.1245 0.5361
O1 O 0.0000 0.1278 0.7229
F1 F 0.0000 0.1265 0.3056
F2 F 0.0000 0.3783 0.2328
F3 F 0.0000 0.3778 0.8406
F4 F 0.2362 0.2199 0.0271
F5 F 0.2385 0.0316 0.0267
```

=====

# Fe3O5F
Simulated XRD peak list, Cu Kα, 1.54184 Å. Input: the GGA+U geometry in Alexandria.
Lines closer than 0.1° are merged.

Principal peaks in the range 5° ≤ 2θ ≤ 70°, in order of rising 2θ:
2θ/deg	intensity
27.45	100.0
35.65	13.4
35.76	26.5
35.86	13.0
39.22	10.2
41.05	7.2
53.99	29.0
54.22	29.3
56.67	15.9
61.88	8.4
64.10	8.9
68.85	15.4

Structural model:
```
data_Fe3O5F
_cell_length_a 5.4714
_cell_length_b 4.5938
_cell_length_c 7.5781
_cell_angle_alpha 90.00
_cell_angle_beta 94.44
_cell_angle_gamma 90.00
_space_group_name_H-M_alt 'P 1 21 1'
_space_group_IT_number 4
_space_group_name_Hall 'P 2yb'
loop_
_atom_site_label
_atom_site_type_symbol
_atom_site_fract_x
_atom_site_fract_y
_atom_site_fract_z
Fe1 Fe 0.0743 0.0000 0.3364
Fe2 Fe 0.2548 0.5392 0.9888
Fe3 Fe 0.4119 0.0285 0.6614
O1 O 0.0454 0.8343 0.1048
O2 O 0.1269 0.2066 0.5581
O3 O 0.2107 0.7253 0.7590
O4 O 0.3768 0.8264 0.4333
O5 O 0.4522 0.2168 0.8936
F1 F 0.2896 0.3284 0.2320
```

=====

# Fe10O19F
Simulated XRD peak list, Cu Kα, 1.54184 Å. Input: the GGA+U geometry in Alexandria.
Lines closer than 0.1° are merged.

Principal peaks in the range 5° ≤ 2θ ≤ 70°, in order of rising 2θ:
2θ/deg	intensity
26.81	100.0
27.27	96.9
36.31	68.1
36.37	23.4
38.61	22.5
53.75	28.4
53.84	27.9
54.24	26.7
54.38	27.0
55.24	15.4
56.26	14.8
68.38	19.6

Structural model:
```
data_Fe10O19F
_cell_length_a 4.6643
_cell_length_b 5.5085
_cell_length_c 12.5543
_cell_angle_alpha 100.35
_cell_angle_beta 90.39
_cell_angle_gamma 90.80
_space_group_name_H-M_alt 'P 1'
_space_group_IT_number 1
_space_group_name_Hall 'P 1'
loop_
_atom_site_label
_atom_site_type_symbol
_atom_site_fract_x
_atom_site_fract_y
_atom_site_fract_z
Fe1 Fe 0.0000 0.0000 0.0000
Fe2 Fe 0.0006 0.8158 0.2006
Fe3 Fe 0.0170 0.5938 0.3950
Fe4 Fe 0.4823 0.9036 0.6051
Fe5 Fe 0.4925 0.6936 0.8010
Fe6 Fe 0.4942 0.1147 0.3965
Fe7 Fe 0.4989 0.5019 0.0001
Fe8 Fe 0.5057 0.3113 0.1981
Fe9 Fe 0.9944 0.3953 0.5978
Fe10 Fe 0.9975 0.1910 0.8010
O1 O 0.1799 0.2505 0.9399
O2 O 0.1796 0.6545 0.5392
O3 O 0.1876 0.4439 0.7371
O4 O 0.1898 0.0562 0.1367
O5 O 0.1952 0.8671 0.3386
O6 O 0.3025 0.9456 0.7456
O7 O 0.3095 0.1547 0.5337
O8 O 0.3087 0.7450 0.9380
O9 O 0.3163 0.5549 0.1369
O10 O 0.3176 0.3627 0.3348
O11 O 0.6812 0.4485 0.8632
O12 O 0.6830 0.6448 0.6669
O13 O 0.6858 0.2568 0.0613
O14 O 0.6879 0.0689 0.2610
O15 O 0.8015 0.3518 0.4598
O16 O 0.8029 0.9490 0.8646
O17 O 0.8122 0.1423 0.6615
O18 O 0.8122 0.7582 0.0630
O19 O 0.8169 0.5662 0.2591
F1 F 0.6918 0.8496 0.4570
```

=====

# Fe5O8F2
Simulated XRD peak list, Cu Kα, 1.54184 Å. Input: the GGA+U geometry in Alexandria.
Lines closer than 0.1° are merged.

Principal peaks in the range 5° ≤ 2θ ≤ 70°, in order of rising 2θ:
2θ/deg	intensity
27.26	100.0
35.43	53.4
38.87	5.1
40.60	13.5
43.74	5.8
53.63	43.9
53.70	14.8
56.23	16.2
61.23	8.3
68.10	5.2
68.25	16.3
68.33	9.8

Structural model:
```
data_Fe5O8F2
_cell_length_a 7.6313
_cell_length_b 4.6205
_cell_length_c 10.1900
_cell_angle_alpha 90.00
_cell_angle_beta 115.56
_cell_angle_gamma 90.00
_space_group_name_H-M_alt 'P 1 21/c 1'
_space_group_IT_number 14
_space_group_name_Hall '-P 2ybc'
loop_
_atom_site_label
_atom_site_type_symbol
_atom_site_fract_x
_atom_site_fract_y
_atom_site_fract_z
Fe1 Fe 0.0000 0.0000 0.0000
Fe2 Fe 0.2036 0.0194 0.8114
Fe3 Fe 0.4135 0.0141 0.6044
O1 O 0.0164 0.1833 0.1740
O2 O 0.2098 0.2037 0.9856
O3 O 0.3794 0.7002 0.9274
O4 O 0.4168 0.1959 0.7793
F1 F 0.1869 0.6942 0.1287
```

=====

# Fe6O5F7
Simulated XRD peak list, Cu Kα, 1.54184 Å. Input: the GGA+U geometry in Alexandria.
Lines closer than 0.1° are merged.

Principal peaks in the range 5° ≤ 2θ ≤ 70°, in order of rising 2θ:
2θ/deg	intensity
25.09	100.0
27.68	86.8
34.78	95.2
37.70	16.0
38.81	16.4
40.61	21.4
50.70	33.0
50.82	33.4
51.51	20.6
53.67	47.1
66.14	19.7
66.24	20.0

Structural model:
```
data_Fe6O5F7
_cell_length_a 9.3911
_cell_length_b 6.4458
_cell_length_c 7.7245
_cell_angle_alpha 90.00
_cell_angle_beta 115.84
_cell_angle_gamma 90.00
_space_group_name_H-M_alt 'C 1 2 1'
_space_group_IT_number 5
_space_group_name_Hall 'C 2y'
loop_
_atom_site_label
_atom_site_type_symbol
_atom_site_fract_x
_atom_site_fract_y
_atom_site_fract_z
Fe1 Fe 0.0000 0.0000 0.0000
Fe2 Fe 0.0000 0.0298 0.5000
Fe3 Fe 0.1663 0.5324 0.6691
Fe4 Fe 0.1779 0.5361 0.1741
O1 O 0.0000 0.6974 0.0000
O2 O 0.1593 0.2291 0.6645
O3 O 0.1616 0.8320 0.6671
F1 F 0.0000 0.3142 0.0000
F2 F 0.0668 0.5280 0.3728
F3 F 0.1140 0.0295 0.3045
F4 F 0.2422 0.0226 0.0401
```

=====

# Fe5O8F2
Simulated XRD peak list, Cu Kα, 1.54184 Å. Input: the GGA+U geometry in Alexandria.
Lines closer than 0.1° are merged.

Principal peaks in the range 5° ≤ 2θ ≤ 70°, in order of rising 2θ:
2θ/deg	intensity
27.65	100.0
35.57	56.1
39.50	9.7
40.86	15.3
44.39	5.3
44.82	1.3
54.20	59.2
57.09	16.4
61.19	8.7
64.59	9.2
68.43	11.2
69.11	19.8

Structural model:
```
data_Fe5O8F2
_cell_length_a 15.1463
_cell_length_b 4.5629
_cell_length_c 4.5629
_cell_angle_alpha 90.00
_cell_angle_beta 90.00
_cell_angle_gamma 90.00
_space_group_name_H-M_alt 'P m n 21'
_space_group_IT_number 31
_space_group_name_Hall 'P 2ac -2'
loop_
_atom_site_label
_atom_site_type_symbol
_atom_site_fract_x
_atom_site_fract_y
_atom_site_fract_z
Fe1 Fe 0.0000 0.2441 0.0000
Fe2 Fe 0.0974 0.7744 0.5303
Fe3 Fe 0.2074 0.2471 0.0010
O1 O 0.0000 0.5745 0.7141
O2 O 0.0000 0.9594 0.3326
O3 O 0.1022 0.0636 0.8213
O4 O 0.1948 0.9535 0.3188
O5 O 0.1966 0.5615 0.7051
F1 F 0.0989 0.4618 0.2149
```